Calculated powder diffractogram of K3Tl4Ga for Cu Kα (λ = 1.5418 Å), from a cell relaxed with PBE.
Intensities are scaled so that the largest is 100.

Crystal structure
```
K3Tl4Ga
1.0
-3.333 4.252 5.398
3.333 -4.252 5.398
3.333 4.252 -5.398
K Tl Ga
3 4 1
Direct
0.000 0.000 0.000
0.151 0.377 0.774
0.603 0.377 0.226
0.019 0.704 0.316
0.388 0.704 0.684
0.653 0.399 0.746
0.653 0.907 0.254
0.430 0.930 0.500
```

Largest 10 diffraction maxima, by angle, 2θ from 10° to 90°:
- 13.25 deg, intensity 60
- 15.62 deg, intensity 79
- 16.42 deg, intensity 100
- 26.19 deg, intensity 37
- 28.18 deg, intensity 38
- 29.96 deg, intensity 91
- 32.66 deg, intensity 64
- 34.18 deg, intensity 40
- 38.14 deg, intensity 67
- 38.31 deg, intensity 61